Dy2YEr6: theoretical X-ray powder pattern (a wavelength of 1.5418 Å), based on a cell relaxed with PBE.
Lines closer than 0.1° are merged.

Cell and atoms:
Cell: 9.4813 9.4813 6.5019 Å, 99.40 99.40 96.20°
Atoms (fractional coordinates):
Dy (0.1183, 0.1655, 0.3692)
Dy (0.1655, 0.1183, 0.8692)
Dy (0.8345, 0.8817, 0.1308)
Dy (0.8817, 0.8345, 0.6308)
Y (0.3810, 0.6190, 0.7500)
Y (0.6190, 0.3810, 0.2500)
Er (0.0382, 0.4387, 0.7275)
Er (0.1480, 0.7778, 0.9965)
Er (0.2222, 0.8520, 0.5035)
Er (0.2763, 0.4550, 0.1846)
Er (0.4387, 0.0382, 0.2275)
Er (0.4550, 0.2763, 0.6846)
Er (0.5450, 0.7237, 0.3154)
Er (0.5613, 0.9618, 0.7725)
Er (0.7237, 0.5450, 0.8154)
Er (0.7778, 0.1480, 0.4965)
Er (0.8520, 0.2222, 0.0035)
Er (0.9618, 0.5613, 0.2725)

Most intense lines, 2θ from 10° to 90°, by intensity:
| d [Å] | two_theta | I (rel.) |
| --- | --- | --- |
| 2.816 | 31.78 | 100.0 |
| 2.863 | 31.24 | 57.0 |
| 3.082 | 28.98 | 55.6 |
| 2.751 | 32.55 | 37.6 |
| 2.629 | 34.10 | 33.6 |
| 2.561 | 35.04 | 32.9 |
| 2.674 | 33.51 | 30.3 |
| 3.031 | 29.47 | 22.1 |

Pm3Ho3Au4: theoretical X-ray powder pattern (a wavelength of 1.5418 Å), based on a cell relaxed with PBE.
Lines closer than 0.1° are merged.

Cell and atoms:
Cell: 3.8576 8.2527 8.2527 Å, 91.14 90.00 90.00°
Atoms (fractional coordinates):
Pm (0.0000, 0.0000, 0.0000)
Pm (0.0000, 0.1770, 0.5080)
Pm (0.0000, 0.5080, 0.1770)
Ho (0.0000, 0.6711, 0.6711)
Ho (0.5000, 0.3406, 0.8423)
Ho (0.5000, 0.8423, 0.3406)
Au (0.5000, 0.2082, 0.2082)
Au (0.5000, 0.4754, 0.4754)
Au (0.5000, 0.7022, 0.9616)
Au (0.5000, 0.9616, 0.7022)

Most intense lines, 2θ from 10° to 90°, by intensity:
| d [Å] | two_theta | I (rel.) |
| --- | --- | --- |
| 2.655 | 33.75 | 100.0 |
| 2.678 | 33.47 | 96.9 |
| 2.625 | 34.16 | 49.7 |
| 2.594 | 34.58 | 46.5 |
| 2.818 | 31.76 | 32.4 |
| 1.928 | 47.13 | 32.4 |
| 1.554 | 59.47 | 20.4 |
| 1.548 | 59.75 | 19.4 |

Sr2SnSe4: theoretical X-ray powder pattern (a wavelength of 1.5418 Å), based on a cell relaxed with PBE.
Lines closer than 0.1° are merged.

Cell and atoms:
Cell: 10.6430 6.6358 6.6358 Å, 110.03 90.00 90.00°
Atoms (fractional coordinates):
Sr (0.0000, 0.0000, 0.0000)
Sr (0.2500, 0.6475, 0.2641)
Sr (0.5000, 0.0000, 0.0000)
Sr (0.7500, 0.2641, 0.6475)
Sn (0.2500, 0.2465, 0.6963)
Sn (0.7500, 0.6963, 0.2465)
Se (0.0541, 0.4389, 0.8964)
Se (0.2500, 0.1652, 0.2898)
Se (0.2500, 0.8747, 0.7446)
Se (0.4459, 0.4389, 0.8964)
Se (0.5541, 0.8964, 0.4389)
Se (0.7500, 0.2898, 0.1652)
Se (0.7500, 0.7446, 0.8747)
Se (0.9459, 0.8964, 0.4389)

Most intense lines, 2θ from 10° to 90°, by intensity:
| d [Å] | two_theta | I (rel.) |
| --- | --- | --- |
| 2.690 | 33.31 | 100.0 |
| 3.126 | 28.55 | 34.8 |
| 3.272 | 27.25 | 31.1 |
| 2.661 | 33.68 | 30.7 |
| 3.083 | 28.96 | 23.8 |
| 3.095 | 28.85 | 20.3 |
| 1.794 | 50.89 | 18.1 |
| 2.241 | 40.25 | 17.7 |

Pm3Cd4: theoretical X-ray powder pattern (a wavelength of 1.5418 Å), based on a cell relaxed with PBE.
Lines closer than 0.1° are merged.

Cell and atoms:
Cell: 3.5153 5.0190 21.4486 Å, 90.00 90.00 90.00°
Atoms (fractional coordinates):
Pm (0.0000, 0.0000, 0.0000)
Pm (0.0000, 0.5000, 0.1997)
Pm (0.0000, 0.5000, 0.8003)
Pm (0.5000, 0.0000, 0.3003)
Pm (0.5000, 0.0000, 0.6997)
Pm (0.5000, 0.5000, 0.5000)
Cd (0.0000, 0.0000, 0.4325)
Cd (0.0000, 0.0000, 0.5675)
Cd (0.0000, 0.5000, 0.3583)
Cd (0.0000, 0.5000, 0.6417)
Cd (0.5000, 0.0000, 0.1417)
Cd (0.5000, 0.0000, 0.8583)
Cd (0.5000, 0.5000, 0.0675)
Cd (0.5000, 0.5000, 0.9325)

Most intense lines, 2θ from 10° to 90°, by intensity:
| d [Å] | two_theta | I (rel.) |
| --- | --- | --- |
| 2.781 | 32.19 | 100.0 |
| 2.615 | 34.29 | 87.0 |
| 2.719 | 32.94 | 53.0 |
| 2.510 | 35.78 | 44.7 |
| 1.844 | 49.42 | 33.6 |
| 1.459 | 63.80 | 27.7 |
| 1.440 | 64.75 | 15.3 |
| 1.758 | 52.03 | 15.0 |

ErAlHgPd: theoretical X-ray powder pattern (a wavelength of 1.5418 Å), based on a cell relaxed with PBE.
Lines closer than 0.1° are merged.

Cell and atoms:
Cell: 6.7949 6.7949 6.7949 Å, 90.00 90.00 90.00°
Atoms (fractional coordinates):
Er (0.0000, 0.0000, 0.0000)
Er (0.0000, 0.5000, 0.5000)
Er (0.5000, 0.0000, 0.5000)
Er (0.5000, 0.5000, 0.0000)
Al (0.0000, 0.0000, 0.5000)
Al (0.0000, 0.5000, 0.0000)
Al (0.5000, 0.0000, 0.0000)
Al (0.5000, 0.5000, 0.5000)
Hg (0.2500, 0.2500, 0.2500)
Hg (0.2500, 0.7500, 0.7500)
Hg (0.7500, 0.2500, 0.7500)
Hg (0.7500, 0.7500, 0.2500)
Pd (0.2500, 0.2500, 0.7500)
Pd (0.2500, 0.7500, 0.2500)
Pd (0.7500, 0.2500, 0.2500)
Pd (0.7500, 0.7500, 0.7500)

Most intense lines, 2θ from 10° to 90°, by intensity:
| d [Å] | two_theta | I (rel.) |
| --- | --- | --- |
| 2.402 | 37.43 | 100.0 |
| 1.387 | 67.53 | 35.7 |
| 3.923 | 22.67 | 25.5 |
| 1.699 | 53.98 | 17.5 |
| 2.049 | 44.21 | 14.0 |
| 1.201 | 79.85 | 11.3 |
| 3.397 | 26.23 | 6.7 |
| 1.559 | 59.28 | 6.0 |

Sr11Sb10: theoretical X-ray powder pattern (a wavelength of 1.5418 Å), based on a cell relaxed with PBE.
Lines closer than 0.1° are merged.

Cell and atoms:
Cell: 12.7979 12.7979 12.7979 Å, 120.94 120.94 88.38°
Atoms (fractional coordinates):
Sr (0.0595, 0.3107, 0.7488)
Sr (0.1042, 0.4391, 0.3350)
Sr (0.1042, 0.7692, 0.6650)
Sr (0.1604, 0.1604, 0.0000)
Sr (0.2308, 0.8958, 0.3350)
Sr (0.3107, 0.0595, 0.7488)
Sr (0.3107, 0.5620, 0.2512)
Sr (0.3320, 0.3320, 0.6640)
Sr (0.3320, 0.6680, 0.0000)
Sr (0.4380, 0.6893, 0.7488)
Sr (0.4391, 0.1042, 0.3350)
Sr (0.5609, 0.8958, 0.6650)
Sr (0.5620, 0.3107, 0.2512)
Sr (0.6680, 0.3320, 0.0000)
Sr (0.6680, 0.6680, 0.3360)
Sr (0.6893, 0.4380, 0.7488)
Sr (0.6893, 0.9405, 0.2512)
Sr (0.7692, 0.1042, 0.6650)
Sr (0.8396, 0.8396, 0.0000)
Sr (0.8958, 0.2308, 0.3350)
Sr (0.8958, 0.5609, 0.6650)
Sr (0.9405, 0.6893, 0.2512)
Sb (0.0301, 0.0301, 0.4182)
Sb (0.0301, 0.6119, 0.0000)
Sb (0.1198, 0.1198, 0.2396)
Sb (0.1198, 0.8802, 0.0000)
Sb (0.1476, 0.5000, 0.6476)
Sb (0.2500, 0.7500, 0.5000)
Sb (0.3765, 0.3765, 0.0000)
Sb (0.3881, 0.3881, 0.4182)
Sb (0.3881, 0.9699, 0.0000)
Sb (0.5000, 0.1476, 0.6476)
Sb (0.5000, 0.8524, 0.3524)
Sb (0.6119, 0.0301, 0.0000)
Sb (0.6119, 0.6119, 0.5818)
Sb (0.6235, 0.6235, 0.0000)
Sb (0.7500, 0.2500, 0.5000)
Sb (0.8524, 0.5000, 0.3524)
Sb (0.8802, 0.1198, 0.0000)
Sb (0.8802, 0.8802, 0.7604)
Sb (0.9699, 0.3881, 0.0000)
Sb (0.9699, 0.9699, 0.5818)

Most intense lines, 2θ from 10° to 90°, by intensity:
| d [Å] | two_theta | I (rel.) |
| --- | --- | --- |
| 2.978 | 30.00 | 100.0 |
| 3.037 | 29.41 | 64.8 |
| 2.765 | 32.37 | 44.4 |
| 3.077 | 29.02 | 44.1 |
| 3.011 | 29.67 | 42.8 |
| 2.333 | 38.60 | 29.3 |
| 2.104 | 42.99 | 24.6 |
| 3.154 | 28.30 | 20.6 |

Ho4AlSb2: theoretical X-ray powder pattern (a wavelength of 1.5418 Å), based on a cell relaxed with PBE.
Lines closer than 0.1° are merged.

Cell and atoms:
Cell: 8.2157 8.2157 8.2157 Å, 109.04 109.04 110.34°
Atoms (fractional coordinates):
Ho (0.1855, 0.2437, 0.5583)
Ho (0.1855, 0.6272, 0.9417)
Ho (0.2437, 0.1855, 0.0583)
Ho (0.3728, 0.8145, 0.5583)
Ho (0.6272, 0.1855, 0.4417)
Ho (0.7563, 0.8145, 0.9417)
Ho (0.8145, 0.3728, 0.0583)
Ho (0.8145, 0.7563, 0.4417)
Al (0.1250, 0.8750, 0.2500)
Al (0.8750, 0.1250, 0.7500)
Sb (0.0000, 0.5000, 0.5000)
Sb (0.5000, 0.0000, 0.0000)
Sb (0.5000, 0.5000, 0.0000)
Sb (0.5000, 0.5000, 0.5000)

Most intense lines, 2θ from 10° to 90°, by intensity:
| d [Å] | two_theta | I (rel.) |
| --- | --- | --- |
| 3.372 | 26.43 | 100.0 |
| 2.972 | 30.06 | 69.7 |
| 2.546 | 35.25 | 37.4 |
| 2.020 | 44.87 | 36.4 |
| 2.384 | 37.73 | 31.8 |
| 2.522 | 35.59 | 31.4 |
| 3.011 | 29.67 | 26.1 |
| 1.852 | 49.20 | 24.9 |

Sr3Cd2In2Hg4: theoretical X-ray powder pattern (a wavelength of 1.5418 Å), based on a cell relaxed with PBE.
Lines closer than 0.1° are merged.

Cell and atoms:
Cell: 5.1044 5.1044 14.3816 Å, 90.00 90.00 120.00°
Atoms (fractional coordinates):
Sr (0.0000, 0.0000, 0.0000)
Sr (0.0000, 0.0000, 0.2775)
Sr (0.0000, 0.0000, 0.7225)
Cd (0.3333, 0.6667, 0.5740)
Cd (0.6667, 0.3333, 0.4260)
In (0.3333, 0.6667, 0.1418)
In (0.6667, 0.3333, 0.8582)
Hg (0.3333, 0.6667, 0.3733)
Hg (0.3333, 0.6667, 0.8719)
Hg (0.6667, 0.3333, 0.1281)
Hg (0.6667, 0.3333, 0.6267)

Most intense lines, 2θ from 10° to 90°, by intensity:
| d [Å] | two_theta | I (rel.) |
| --- | --- | --- |
| 2.552 | 35.16 | 100.0 |
| 2.789 | 32.09 | 66.0 |
| 2.081 | 43.48 | 34.9 |
| 3.766 | 23.63 | 28.1 |
| 3.595 | 24.76 | 25.2 |
| 4.421 | 20.09 | 22.7 |
| 1.883 | 48.34 | 21.0 |
| 1.515 | 61.17 | 20.7 |

Pu2Co12As7: theoretical X-ray powder pattern (a wavelength of 1.5418 Å), based on a cell relaxed with PBE.
Lines closer than 0.1° are merged.

Cell and atoms:
Cell: 9.3766 9.3766 3.7398 Å, 90.00 90.00 120.00°
Atoms (fractional coordinates):
Pu (0.0000, 0.0000, 0.0000)
Pu (0.3333, 0.6667, 0.5000)
Co (0.0481, 0.2834, 0.5000)
Co (0.1009, 0.7112, 0.0000)
Co (0.2352, 0.9519, 0.5000)
Co (0.2888, 0.3897, 0.0000)
Co (0.3907, 0.1795, 0.0000)
Co (0.5400, 0.4344, 0.5000)
Co (0.5656, 0.1056, 0.5000)
Co (0.6103, 0.8991, 0.0000)
Co (0.7166, 0.7648, 0.5000)
Co (0.7888, 0.6093, 0.0000)
Co (0.8205, 0.2112, 0.0000)
Co (0.8944, 0.4600, 0.5000)
As (0.0730, 0.4490, 0.0000)
As (0.2612, 0.2204, 0.5000)
As (0.3760, 0.9270, 0.0000)
As (0.5510, 0.6240, 0.0000)
As (0.6667, 0.3333, 0.0000)
As (0.7796, 0.0408, 0.5000)
As (0.9592, 0.7388, 0.5000)

Most intense lines, 2θ from 10° to 90°, by intensity:
| d [Å] | two_theta | I (rel.) |
| --- | --- | --- |
| 2.373 | 37.92 | 100.0 |
| 1.772 | 51.58 | 25.4 |
| 2.751 | 32.55 | 21.9 |
| 1.870 | 48.70 | 19.8 |
| 1.668 | 55.07 | 18.0 |
| 1.286 | 73.65 | 17.4 |
| 2.707 | 33.09 | 17.3 |
| 1.929 | 47.10 | 13.8 |

LiUO4: theoretical X-ray powder pattern (a wavelength of 1.5418 Å), based on a cell relaxed with PBE.
Lines closer than 0.1° are merged.

Cell and atoms:
Cell: 5.9787 5.9787 5.9787 Å, 106.03 106.03 116.61°
Atoms (fractional coordinates):
Li (0.0000, 0.0000, 0.0000)
Li (0.7500, 0.2500, 0.5000)
U (0.2546, 0.7546, 0.5000)
U (0.5046, 0.5046, 0.0000)
O (0.2002, 0.5121, 0.6881)
O (0.2621, 0.0740, 0.8119)
O (0.2621, 0.4502, 0.1881)
O (0.2855, 0.9738, 0.3117)
O (0.6622, 0.9738, 0.6883)
O (0.7238, 0.5355, 0.8117)
O (0.7238, 0.9122, 0.1883)
O (0.8240, 0.5121, 0.3119)

Most intense lines, 2θ from 10° to 90°, by intensity:
| d [Å] | two_theta | I (rel.) |
| --- | --- | --- |
| 4.732 | 18.75 | 100.0 |
| 3.597 | 24.75 | 59.5 |
| 2.864 | 31.23 | 55.1 |
| 2.673 | 33.53 | 40.8 |
| 1.843 | 49.47 | 39.7 |
| 1.902 | 47.83 | 16.8 |
| 2.240 | 40.25 | 14.4 |
| 2.543 | 35.29 | 14.1 |

BeS5Cl: theoretical X-ray powder pattern (a wavelength of 1.5418 Å), based on a cell relaxed with PBE.
Lines closer than 0.1° are merged.

Cell and atoms:
Cell: 4.6746 22.2171 4.0546 Å, 90.00 108.61 90.00°
Atoms (fractional coordinates):
Be (0.0000, 0.0000, 0.0000)
Be (0.5000, 0.5000, 0.0000)
S (0.0000, 0.2409, 0.0000)
S (0.1369, 0.5629, 0.8525)
S (0.1713, 0.3014, 0.7316)
S (0.3287, 0.8014, 0.2684)
S (0.3631, 0.0629, 0.1475)
S (0.5000, 0.7409, 0.0000)
S (0.6369, 0.0629, 0.8525)
S (0.6713, 0.8014, 0.7316)
S (0.8287, 0.3014, 0.2684)
S (0.8631, 0.5629, 0.1475)
Cl (0.0000, 0.9586, 0.5000)
Cl (0.5000, 0.4586, 0.5000)

Most intense lines, 2θ from 10° to 90°, by intensity:
| d [Å] | two_theta | I (rel.) |
| --- | --- | --- |
| 5.554 | 15.96 | 100.0 |
| 3.802 | 23.40 | 78.3 |
| 2.514 | 35.71 | 24.2 |
| 2.754 | 32.51 | 21.8 |
| 3.172 | 28.14 | 20.8 |
| 2.666 | 33.61 | 18.5 |
| 3.631 | 24.51 | 16.4 |
| 1.751 | 52.25 | 15.0 |

Sb3TeS4: theoretical X-ray powder pattern (a wavelength of 1.5418 Å), based on a cell relaxed with PBE.
Lines closer than 0.1° are merged.

Cell and atoms:
Cell: 8.0529 8.0529 10.3336 Å, 111.80 111.80 50.59°
Atoms (fractional coordinates):
Sb (0.0096, 0.9904, 0.5000)
Sb (0.2065, 0.2418, 0.4057)
Sb (0.2418, 0.2065, 0.9057)
Sb (0.5864, 0.6379, 0.6836)
Sb (0.6379, 0.5864, 0.1836)
Sb (0.9904, 0.0096, 0.0000)
Te (0.2403, 0.5872, 0.1158)
Te (0.5872, 0.2403, 0.6158)
S (0.0290, 0.3266, 0.6094)
S (0.1933, 0.8564, 0.7313)
S (0.3266, 0.0290, 0.1094)
S (0.4228, 0.7551, 0.4511)
S (0.6135, 0.9733, 0.8623)
S (0.7551, 0.4228, 0.9511)
S (0.8564, 0.1933, 0.2313)
S (0.9733, 0.6135, 0.3623)

Most intense lines, 2θ from 10° to 90°, by intensity:
| d [Å] | two_theta | I (rel.) |
| --- | --- | --- |
| 3.433 | 25.95 | 100.0 |
| 2.477 | 36.26 | 94.0 |
| 2.442 | 36.81 | 89.8 |
| 4.127 | 21.53 | 85.9 |
| 4.910 | 18.07 | 78.5 |
| 1.985 | 45.72 | 69.9 |
| 2.400 | 37.47 | 68.2 |
| 3.722 | 23.91 | 51.5 |